1.
Structure and theoretical powder diffractogram of LiTa2Te4Br10O (a DFT-relaxed cell (PBE, Alexandria); a wavelength of 1.5418 Å).
Intensities are scaled so that the largest is 1000.

Largest 10 diffraction maxima, sorted by position, 10 to 90 degrees two-theta:
h k l  2theta  d (Å)  I/Imax
0 1 1  14.07  6.294  787
1 0 -1  14.62  6.058  1000
1 1 -1  19.10  4.646  378
0 1 -2  19.59  4.531  612
0 2 -2  25.67  3.470  512
-1 2 2  28.16  3.169  596
2 1 1  31.26  2.862  417
-2 2 2  33.12  2.705  497
1 -3 3  38.95  2.312  486
2 3 -1  44.63  2.030  363

Crystal structure
```
data_LiTa2Te4Br10O
_chemical_formula_sum 'Li1 Ta2 Te4 Br10 O1'
_symmetry_space_group_name_H-M 'P 1'
_symmetry_Int_Tables_number 1
_cell_length_a 7.5140
_cell_length_b 9.1399
_cell_length_c 10.0330
_cell_angle_alpha 94.74
_cell_angle_beta 92.54
_cell_angle_gamma 105.11
loop_
_symmetry_equiv_pos_as_xyz
'x,y,z'
loop_
_atom_site_label
_atom_site_fract_x
_atom_site_fract_y
_atom_site_fract_z
Li1 0.0000 0.0000 0.0000
Ta1 0.3988 0.1582 0.8270
Ta2 0.4338 0.8930 0.0984
Te1 0.0834 0.6056 0.6179
Te2 0.7177 0.4513 0.3144
Te3 0.8280 0.7180 0.4802
Te4 0.9765 0.3394 0.4496
Br1 0.0584 0.9754 0.7481
Br2 0.1017 0.7419 0.0391
Br3 0.2136 0.2843 0.9894
Br4 0.3365 0.0644 0.2728
Br5 0.3518 0.3387 0.6518
Br6 0.4515 0.7072 0.2794
Br7 0.5159 0.0003 0.6582
Br8 0.5701 0.7352 0.9369
Br9 0.6990 0.3330 0.9069
Br10 0.7757 0.0543 0.1729
O1 0.4134 0.0237 0.9632
```

***

2.
Structure and theoretical powder diffractogram of LiTa2Te4Br10O (a DFT-relaxed cell (PBE, Alexandria); a wavelength of 1.5418 Å).
Intensities are scaled so that the largest is 1000.

Largest 10 diffraction maxima, sorted by position, 10 to 90 degrees two-theta:
h k l  2theta  d (Å)  I/Imax
1 0 -1  14.56  6.082  1000
1 -1 0  16.74  5.297  189
-1 1 1  18.12  4.896  155
0 1 2  19.25  4.610  158
1 2 1  21.59  4.116  138
1 1 -2  23.92  3.721  151
0 2 2  24.70  3.604  162
2 -1 1  29.47  3.031  229
1 2 -2  29.85  2.993  230
2 2 -3  41.26  2.188  171

Crystal structure
```
data_LiTa2Te4Br10O
_chemical_formula_sum 'Li1 Ta2 Te4 Br10 O1'
_symmetry_space_group_name_H-M 'P 1'
_symmetry_Int_Tables_number 1
_cell_length_a 7.7801
_cell_length_b 9.2535
_cell_length_c 9.8783
_cell_angle_alpha 80.56
_cell_angle_beta 89.49
_cell_angle_gamma 78.46
loop_
_symmetry_equiv_pos_as_xyz
'x,y,z'
loop_
_atom_site_label
_atom_site_fract_x
_atom_site_fract_y
_atom_site_fract_z
Li1 0.0000 0.0000 0.0000
Ta1 0.0388 0.6325 0.1205
Ta2 0.9610 0.3674 0.8806
Te1 0.3361 0.1046 0.3504
Te2 0.4218 0.8142 0.4867
Te3 0.5765 0.1859 0.5143
Te4 0.6625 0.8954 0.6505
Br1 0.0815 0.8443 0.2648
Br2 0.1197 0.4863 0.6893
Br3 0.2093 0.7630 0.9298
Br4 0.2416 0.1823 0.9709
Br5 0.3302 0.4745 0.2166
Br6 0.6693 0.5256 0.7852
Br7 0.7587 0.8178 0.0292
Br8 0.7912 0.2365 0.0715
Br9 0.8791 0.5145 0.3117
Br10 0.9177 0.1560 0.7360
O1 0.0000 0.4998 0.0007
```